1.
Al4CuSi2: calculated powder XRD pattern (a wavelength of 1.5418 Å), based on a GGA-PBE-relaxed structure.
Peak positions follow from Bragg's law for the DFT cell and can differ from measured ones.

Peak list (10 most intense, 10° ≤ 2θ ≤ 90°, in order of rising 2θ)
- d 3.534, I = 19, (0 0 3)
- d 3.453, I = 37, (1 0 0)
- d 3.283, I = 100, (1 0 1)
- d 2.103, I = 70, (1 0 4)
- d 1.994, I = 62, (1 1 0)
- d 1.807, I = 28, (0 1 5)
- d 1.736, I = 13, (1 1 3)
- d 1.704, I = 14, (0 2 1)
- d 1.447, I = 20, (0 2 4)
- d 1.171, I = 20, (2 1 4)

a = 3.987 Å, b = 3.987 Å, c = 10.603 Å
α = 90.00°, β = 90.00°, γ = 120.00°
Atoms (fractional coordinates):
Al 0.000 0.000 0.000
Al 0.000 0.000 0.465
Al 0.667 0.333 0.308
Al 0.667 0.333 0.786
Cu 0.000 0.000 0.228
Si 0.333 0.667 0.887
Si 0.667 0.333 0.551

2.
AlCuSi2: calculated powder XRD pattern (a wavelength of 1.5418 Å), based on a GGA-PBE-relaxed structure.
Peak positions follow from Bragg's law for the DFT cell and can differ from measured ones.

Peak list (10 most intense, 10° ≤ 2θ ≤ 90°, in order of rising 2θ)
- d 4.320, I = 55, (1 0 1)
- d 2.587, I = 32, (2 0 0)
- d 2.323, I = 100, (0 1 2)
- d 2.160, I = 33, (2 0 2)
- d 2.119, I = 19, (1 1 2)
- d 1.925, I = 26, (2 1 0)
- d 1.870, I = 26, (2 1 1)
- d 1.840, I = 20, (2 0 3)
- d 1.835, I = 19, (1 0 4)
- d 1.728, I = 28, (2 1 2)

a = 5.174 Å, b = 2.881 Å, c = 7.852 Å
α = 90.00°, β = 90.00°, γ = 90.00°
Atoms (fractional coordinates):
Al 0.250 0.000 0.238
Al 0.750 0.000 0.762
Cu 0.250 0.000 0.710
Cu 0.750 0.000 0.290
Si 0.000 0.500 0.500
Si 0.250 0.500 0.963
Si 0.500 0.500 0.500
Si 0.750 0.500 0.037

3.
Al3Cu3Si: calculated powder XRD pattern (a wavelength of 1.5418 Å), based on a GGA-PBE-relaxed structure.
Peak positions follow from Bragg's law for the DFT cell and can differ from measured ones.

Peak list (10 most intense, 10° ≤ 2θ ≤ 90°, in order of rising 2θ)
- d 4.790, I = 35, (0 0 2)
- d 3.026, I = 47, (1 1 1)
- d 2.653, I = 49, (0 2 1)
- d 2.194, I = 100, (1 2 1)
- d 2.088, I = 24, (0 2 3)
- d 2.042, I = 92, (1 0 4)
- d 1.953, I = 47, (2 0 0)
- d 1.842, I = 70, (1 2 3)
- d 1.573, I = 29, (0 2 5)
- d 1.143, I = 35, (3 0 4)

a = 3.905 Å, b = 5.520 Å, c = 9.583 Å
α = 90.00°, β = 90.00°, γ = 90.00°
Atoms (fractional coordinates):
Al 0.250 0.002 0.152
Al 0.250 0.250 0.679
Al 0.250 0.498 0.152
Al 0.750 0.502 0.848
Al 0.750 0.750 0.321
Al 0.750 0.998 0.848
Cu 0.250 0.250 0.939
Cu 0.250 0.501 0.420
Cu 0.250 0.999 0.420
Cu 0.750 0.001 0.580
Cu 0.750 0.499 0.580
Cu 0.750 0.750 0.061
Si 0.250 0.750 0.662
Si 0.750 0.250 0.338

4.
Al4CuSi2: calculated powder XRD pattern (a wavelength of 1.5418 Å), based on a GGA-PBE-relaxed structure.
Peak positions follow from Bragg's law for the DFT cell and can differ from measured ones.

Peak list (10 most intense, 10° ≤ 2θ ≤ 90°, in order of rising 2θ)
- d 4.731, I = 38, (0 0 2)
- d 3.386, I = 100, (1 0 1)
- d 3.154, I = 52, (0 0 3)
- d 2.878, I = 45, (1 0 2)
- d 2.094, I = 93, (1 1 0)
- d 1.981, I = 69, (1 0 4)
- d 1.915, I = 19, (1 1 2)
- d 1.744, I = 52, (1 1 3)
- d 1.439, I = 24, (0 2 4)
- d 1.186, I = 25, (2 1 4)

a = 4.188 Å, b = 4.188 Å, c = 9.461 Å
α = 90.00°, β = 90.00°, γ = 120.00°
Atoms (fractional coordinates):
Al 0.333 0.667 0.395
Al 0.333 0.667 0.936
Al 0.667 0.333 0.064
Al 0.667 0.333 0.605
Cu 0.000 0.000 0.000
Si 0.333 0.667 0.675
Si 0.667 0.333 0.325

5.
AlCu2Si: calculated powder XRD pattern (a wavelength of 1.5418 Å), based on a GGA-PBE-relaxed structure.
Peak positions follow from Bragg's law for the DFT cell and can differ from measured ones.

Peak list (10 most intense, 10° ≤ 2θ ≤ 90°, in order of rising 2θ)
- d 3.207, I = 93, (1 0 0)
- d 2.691, I = 22, (1 0 1)
- d 2.475, I = 9, (0 0 2)
- d 1.959, I = 100, (1 0 2)
- d 1.852, I = 57, (1 1 0)
- d 1.603, I = 11, (2 0 0)
- d 1.483, I = 9, (1 1 2)
- d 1.346, I = 27, (2 0 2)
- d 1.212, I = 8, (2 1 0)
- d 1.154, I = 6, (1 0 4)

a = 3.703 Å, b = 3.703 Å, c = 4.949 Å
α = 90.00°, β = 90.00°, γ = 120.00°
Atoms (fractional coordinates):
Al 0.000 0.000 0.000
Cu 0.333 0.667 0.256
Cu 0.333 0.667 0.744
Si 0.667 0.333 0.500

6.
Al2CuSi3: calculated powder XRD pattern (a wavelength of 1.5418 Å), based on a GGA-PBE-relaxed structure.
Peak positions follow from Bragg's law for the DFT cell and can differ from measured ones.

Peak list (10 most intense, 10° ≤ 2θ ≤ 90°, in order of rising 2θ)
- d 5.915, I = 15, (0 2 0)
- d 2.237, I = 100, (1 3 1)
- d 1.972, I = 17, (0 6 0)
- d 1.932, I = 16, (0 0 2)
- d 1.908, I = 15, (2 0 0)
- d 1.380, I = 10, (0 6 2)
- d 1.183, I = 12, (1 9 1)
- d 1.166, I = 12, (1 3 3)
- d 1.155, I = 11, (3 3 1)
- d 1.118, I = 11, (2 6 2)

a = 3.817 Å, b = 11.830 Å, c = 3.865 Å
α = 90.00°, β = 90.00°, γ = 90.00°
Atoms (fractional coordinates):
Al 0.000 0.164 0.000
Al 0.000 0.836 0.000
Al 0.500 0.336 0.000
Al 0.500 0.664 0.000
Cu 0.000 0.000 0.500
Cu 0.500 0.500 0.500
Si 0.000 0.340 0.500
Si 0.000 0.500 0.000
Si 0.000 0.660 0.500
Si 0.500 0.000 0.000
Si 0.500 0.160 0.500
Si 0.500 0.840 0.500